Entry 1:
This entry pairs a crystal structure of Pr3Si2I3 with its computed powder XRD pattern. Radiation: Cu Ka. Structure: a crystal structure in Alexandria, relaxed with GGA-PBE.
Peak positions follow from Bragg's law for the DFT cell and can differ from measured ones.

Main lines, low angle first (10° ≤ 2θ ≤ 90°):
| 2theta | I_rel | index |
| --- | --- | --- |
| 18.80 | 34 | 1 1 0 |
| 28.90 | 11 | 2 1 0 |
| 29.52 | 32 | 0 0 2 |
| 32.54 | 100 | 2 1 1 |
| 32.87 | 26 | 3 0 0 |
| 35.23 | 30 | 1 1 2 |
| 42.58 | 22 | 3 1 1 |
| 44.76 | 12 | 3 0 2 |
| 54.31 | 23 | 2 1 3 |
| 64.82 | 12 | 5 0 2 |

Structure:
Cell: 9.4399 9.4399 6.0514 Å, 90.00 90.00 120.00°
Fractional coordinates of all 16 atoms:
Pr 0.0000 0.3955 0.2500
Pr 0.0000 0.6045 0.7500
Pr 0.3955 0.0000 0.2500
Pr 0.3955 0.3955 0.7500
Pr 0.6045 0.0000 0.7500
Pr 0.6045 0.6045 0.2500
Si 0.3333 0.6667 0.0000
Si 0.3333 0.6667 0.5000
Si 0.6667 0.3333 0.0000
Si 0.6667 0.3333 0.5000
I 0.0000 0.2512 0.7500
I 0.0000 0.7488 0.2500
I 0.2512 0.0000 0.7500
I 0.2512 0.2512 0.2500
I 0.7488 0.0000 0.2500
I 0.7488 0.7488 0.7500

Entry 2:
This entry pairs a crystal structure of Ag6BrCl8 with its computed powder XRD pattern. Radiation: Cu Ka. Structure: a crystal structure in Alexandria, relaxed with GGA-PBE.
Peak positions follow from Bragg's law for the DFT cell and can differ from measured ones.

Main lines, low angle first (10° ≤ 2θ ≤ 90°):
| 2theta | I_rel | index |
| --- | --- | --- |
| 12.67 | 85 | 0 1 1 |
| 13.33 | 97 | 1 1 0 |
| 17.33 | 85 | 0 2 1 |
| 22.52 | 66 | 0 1 2 |
| 24.27 | 56 | 2 1 -1 |
| 26.84 | 100 | 2 2 0 |
| 31.00 | 61 | 2 3 0 |
| 31.20 | 96 | 2 3 -1 |
| 33.15 | 89 | 0 1 3 |
| 36.28 | 76 | 2 4 -1 |

Structure:
Cell: 7.9047 12.9991 8.4765 Å, 90.00 102.07 90.00°
Fractional coordinates of all 30 atoms:
Ag 0.0259 0.0000 0.2940
Ag 0.1682 0.6968 0.4374
Ag 0.2301 0.9984 0.8747
Ag 0.2449 0.2983 0.0045
Ag 0.3353 0.2002 0.5813
Ag 0.4589 0.4889 0.6764
Ag 0.5411 0.9889 0.3236
Ag 0.6647 0.7002 0.4187
Ag 0.7551 0.7983 0.9955
Ag 0.7699 0.4984 0.1253
Ag 0.8318 0.1968 0.5626
Ag 0.9741 0.5000 0.7060
Br 0.2075 0.1776 0.2636
Br 0.7925 0.6776 0.7364
Cl 0.0119 0.4320 0.9960
Cl 0.0545 0.0397 0.5978
Cl 0.0893 0.3213 0.6317
Cl 0.2709 0.6248 0.7471
Cl 0.3764 0.8455 0.4136
Cl 0.4073 0.1636 0.8874
Cl 0.4173 0.5640 0.4061
Cl 0.4912 0.9135 0.0505
Cl 0.5088 0.4135 0.9495
Cl 0.5827 0.0640 0.5939
Cl 0.5927 0.6636 0.1126
Cl 0.6236 0.3455 0.5864
Cl 0.7291 0.1248 0.2529
Cl 0.9107 0.8213 0.3683
Cl 0.9455 0.5397 0.4022
Cl 0.9881 0.9320 0.0040

- Which formula does entry 1 have?
  Pr3Si2I3

Copy entry 2 word for word.
This entry pairs a crystal structure of Ag6BrCl8 with its computed powder XRD pattern. Radiation: Cu Ka. Structure: a crystal structure in Alexandria, relaxed with GGA-PBE.
Peak positions follow from Bragg's law for the DFT cell and can differ from measured ones.

Main lines, low angle first (10° ≤ 2θ ≤ 90°):
| 2theta | I_rel | index |
| --- | --- | --- |
| 12.67 | 85 | 0 1 1 |
| 13.33 | 97 | 1 1 0 |
| 17.33 | 85 | 0 2 1 |
| 22.52 | 66 | 0 1 2 |
| 24.27 | 56 | 2 1 -1 |
| 26.84 | 100 | 2 2 0 |
| 31.00 | 61 | 2 3 0 |
| 31.20 | 96 | 2 3 -1 |
| 33.15 | 89 | 0 1 3 |
| 36.28 | 76 | 2 4 -1 |

Structure:
Cell: 7.9047 12.9991 8.4765 Å, 90.00 102.07 90.00°
Fractional coordinates of all 30 atoms:
Ag 0.0259 0.0000 0.2940
Ag 0.1682 0.6968 0.4374
Ag 0.2301 0.9984 0.8747
Ag 0.2449 0.2983 0.0045
Ag 0.3353 0.2002 0.5813
Ag 0.4589 0.4889 0.6764
Ag 0.5411 0.9889 0.3236
Ag 0.6647 0.7002 0.4187
Ag 0.7551 0.7983 0.9955
Ag 0.7699 0.4984 0.1253
Ag 0.8318 0.1968 0.5626
Ag 0.9741 0.5000 0.7060
Br 0.2075 0.1776 0.2636
Br 0.7925 0.6776 0.7364
Cl 0.0119 0.4320 0.9960
Cl 0.0545 0.0397 0.5978
Cl 0.0893 0.3213 0.6317
Cl 0.2709 0.6248 0.7471
Cl 0.3764 0.8455 0.4136
Cl 0.4073 0.1636 0.8874
Cl 0.4173 0.5640 0.4061
Cl 0.4912 0.9135 0.0505
Cl 0.5088 0.4135 0.9495
Cl 0.5827 0.0640 0.5939
Cl 0.5927 0.6636 0.1126
Cl 0.6236 0.3455 0.5864
Cl 0.7291 0.1248 0.2529
Cl 0.9107 0.8213 0.3683
Cl 0.9455 0.5397 0.4022
Cl 0.9881 0.9320 0.0040

Copy entry 2 word for word.
This entry pairs a crystal structure of Ag6BrCl8 with its computed powder XRD pattern. Radiation: Cu Ka. Structure: a crystal structure in Alexandria, relaxed with GGA-PBE.
Peak positions follow from Bragg's law for the DFT cell and can differ from measured ones.

Main lines, low angle first (10° ≤ 2θ ≤ 90°):
| 2theta | I_rel | index |
| --- | --- | --- |
| 12.67 | 85 | 0 1 1 |
| 13.33 | 97 | 1 1 0 |
| 17.33 | 85 | 0 2 1 |
| 22.52 | 66 | 0 1 2 |
| 24.27 | 56 | 2 1 -1 |
| 26.84 | 100 | 2 2 0 |
| 31.00 | 61 | 2 3 0 |
| 31.20 | 96 | 2 3 -1 |
| 33.15 | 89 | 0 1 3 |
| 36.28 | 76 | 2 4 -1 |

Structure:
Cell: 7.9047 12.9991 8.4765 Å, 90.00 102.07 90.00°
Fractional coordinates of all 30 atoms:
Ag 0.0259 0.0000 0.2940
Ag 0.1682 0.6968 0.4374
Ag 0.2301 0.9984 0.8747
Ag 0.2449 0.2983 0.0045
Ag 0.3353 0.2002 0.5813
Ag 0.4589 0.4889 0.6764
Ag 0.5411 0.9889 0.3236
Ag 0.6647 0.7002 0.4187
Ag 0.7551 0.7983 0.9955
Ag 0.7699 0.4984 0.1253
Ag 0.8318 0.1968 0.5626
Ag 0.9741 0.5000 0.7060
Br 0.2075 0.1776 0.2636
Br 0.7925 0.6776 0.7364
Cl 0.0119 0.4320 0.9960
Cl 0.0545 0.0397 0.5978
Cl 0.0893 0.3213 0.6317
Cl 0.2709 0.6248 0.7471
Cl 0.3764 0.8455 0.4136
Cl 0.4073 0.1636 0.8874
Cl 0.4173 0.5640 0.4061
Cl 0.4912 0.9135 0.0505
Cl 0.5088 0.4135 0.9495
Cl 0.5827 0.0640 0.5939
Cl 0.5927 0.6636 0.1126
Cl 0.6236 0.3455 0.5864
Cl 0.7291 0.1248 0.2529
Cl 0.9107 0.8213 0.3683
Cl 0.9455 0.5397 0.4022
Cl 0.9881 0.9320 0.0040